# 1
Theoretical X-ray powder pattern of Dy3Sn2 for a wavelength of 1.5418 Å, from a structure optimized by DFT (GGA-PBE).
Lines closer than 0.1° are merged.

Structural model:
```
Dy3Sn2
1.0
-3.0577 3.0577 7.6808
3.0577 -3.0577 7.6808
3.0577 3.0577 -7.6808
Dy Sn
6 4
Direct
0.0000 0.0000 0.0000
0.0000 0.0000 0.5000
0.0000 0.5000 0.0000
0.3750 0.6250 0.7500
0.5000 0.0000 0.5000
0.6250 0.3750 0.2500
0.1760 0.4260 0.7500
0.4260 0.1760 0.2500
0.5740 0.8240 0.7500
0.8240 0.5740 0.2500
```

Largest 6 diffraction maxima, by angle, 10° ≤ 2θ ≤ 80°:
2θ = 29.21°, intensity 53
2θ = 31.49°, intensity 55
2θ = 32.62°, intensity 97
2θ = 33.27°, intensity 100
2θ = 48.31°, intensity 50
2θ = 64.35°, intensity 26

# 2
Theoretical X-ray powder pattern of Mg8In2Pd for a wavelength of 1.5418 Å, from a structure optimized by DFT (GGA-PBE).
Lines closer than 0.1° are merged.

Structural model:
```
Mg8In2Pd
1.0
-2.4830 3.3009 7.3448
2.4830 -3.3009 7.3448
2.4830 3.3009 -7.3448
Mg In Pd
8 2 1
Direct
0.1284 0.3666 0.7617
0.1811 0.1811 0.0000
0.2393 0.0000 0.2393
0.3951 0.6334 0.7617
0.6049 0.3666 0.2383
0.7607 0.0000 0.7607
0.8189 0.8189 0.0000
0.8716 0.6334 0.2383
0.3184 0.8184 0.5000
0.6816 0.1816 0.5000
0.0000 0.5000 0.5000
```

Largest 6 diffraction maxima, by angle, 10° ≤ 2θ ≤ 80°:
2θ = 22.40°, intensity 56
2θ = 22.61°, intensity 60
2θ = 25.55°, intensity 32
2θ = 36.18°, intensity 31
2θ = 37.52°, intensity 100
2θ = 43.08°, intensity 22

# 3
Theoretical X-ray powder pattern of PrTm6Te8 for a wavelength of 1.5418 Å, from a structure optimized by DFT (GGA-PBE).
Lines closer than 0.1° are merged.

Structural model:
```
PrTm6Te8
1.0
0.0000 6.0782 6.0782
6.0782 0.0000 6.0782
6.0782 6.0782 0.0000
Pr Tm Te
1 6 8
Direct
0.0000 0.0000 0.0000
0.0000 0.0000 0.5000
0.0000 0.5000 0.0000
0.0000 0.5000 0.5000
0.5000 0.0000 0.0000
0.5000 0.0000 0.5000
0.5000 0.5000 0.0000
0.2500 0.2500 0.2500
0.2643 0.2643 0.7357
0.2643 0.7357 0.2643
0.2643 0.7357 0.7357
0.7357 0.2643 0.2643
0.7357 0.2643 0.7357
0.7357 0.7357 0.2643
0.7500 0.7500 0.7500
```

Largest 6 diffraction maxima, by angle, 10° ≤ 2θ ≤ 80°:
2θ = 29.39°, intensity 100
2θ = 42.05°, intensity 75
2θ = 52.13°, intensity 26
2θ = 60.97°, intensity 12
2θ = 69.11°, intensity 33
2θ = 76.83°, intensity 24